This entry pairs a crystal structure of Sc4Nb2Sb3C3 with its computed PXRD pattern. Radiation: λ = 1.5418 Å (Cu Kα). Structure: a structure optimized by DFT (PBE).

Structural model:
Lattice parameters (Å, degrees): 5.8236 5.8236 14.3802 101.58 101.58 60.21
Atoms (fractional coordinates):
1 Sc 0.0355 0.1882 0.0870
2 Sc 0.1297 0.3049 0.4129
3 Sc 0.1882 0.0355 0.5870
4 Sc 0.3049 0.1297 0.9129
5 Sc 0.6951 0.8703 0.0871
6 Sc 0.8118 0.9645 0.4130
7 Sc 0.8703 0.6951 0.5871
8 Sc 0.9645 0.8118 0.9130
9 Nb 0.3529 0.5254 0.0788
10 Nb 0.4746 0.6471 0.4212
11 Nb 0.5254 0.3529 0.5788
12 Nb 0.6471 0.4746 0.9212
13 Sb 0.0992 0.9008 0.2500
14 Sb 0.2636 0.4147 0.7507
15 Sb 0.4147 0.2636 0.2507
16 Sb 0.5853 0.7364 0.7493
17 Sb 0.7364 0.5853 0.2493
18 Sb 0.9008 0.0992 0.7500
19 C 0.0000 0.5000 0.0000
20 C 0.1801 0.6602 0.5000
21 C 0.3398 0.8199 0.0000
22 C 0.5000 0.0000 0.5000
23 C 0.6602 0.1801 0.0000
24 C 0.8199 0.3398 0.5000

Top 10 peaks for 10° ≤ 2θ ≤ 90°, most intense first:
Position (°2θ)	d [Å]	I_rel
36.3	2.473	100
36.4	2.468	50
38.6	2.331	27
30.7	2.912	22
68.4	1.371	21
54.5	1.685	21
68.7	1.365	17
67.4	1.390	15
50.1	1.822	15
12.7	6.994	13

***

This entry pairs a crystal structure of LaSmOs4C4 with its computed PXRD pattern. Radiation: λ = 1.5418 Å (Cu Kα). Structure: a structure optimized by DFT (PBE).

Structural model:
Lattice parameters (Å, degrees): 6.7331 5.8286 5.6095 72.09 55.46 52.44
Atoms (fractional coordinates):
1 La 0.0000 0.0000 0.0000
2 Sm 0.2500 0.2500 0.2500
3 Os 0.3624 0.3624 0.6376
4 Os 0.6140 0.6140 0.8860
5 Os 0.6376 0.6376 0.3624
6 Os 0.8860 0.8860 0.6140
7 C 0.3195 0.6805 0.3195
8 C 0.5656 0.9344 0.5656
9 C 0.6805 0.3195 0.6805
10 C 0.9344 0.5656 0.9344

Top 10 peaks for 10° ≤ 2θ ≤ 90°, most intense first:
Position (°2θ)	d [Å]	I_rel
34.3	2.615	100
32.4	2.767	94
42.8	2.113	49
38.9	2.314	37
60.2	1.538	25
52.5	1.742	24
19.2	4.613	20
59.2	1.560	17
67.5	1.387	16
51.1	1.786	13